Entry 1:
# LaMg14Ni
Simulated powder X-ray diffraction pattern, Cu Ka. Input: a cell relaxed with GGA-PBE.
Lines closer than 0.1° are merged.

The 10 most intense peaks (5 to 70 degrees two-theta), by angle:
2θ/deg, I (rel.)
8.61, 82
14.94, 23
17.27, 51
22.92, 14
30.15, 14
33.17, 38
34.34, 19
34.95, 100
37.64, 82
48.97, 24

Cell and atoms:
```
data_LaMg14Ni
_space_group_name_H-M_alt 'P 1'
_space_group_IT_number 1
_space_group_name_Hall 'P 1'
_cell_length_a 10.264
_cell_length_b 6.661
_cell_length_c 6.661
_cell_angle_alpha 54.18
_cell_angle_beta 90.00
_cell_angle_gamma 90.00
loop_
_atom_site_label
_atom_site_fract_x
_atom_site_fract_y
_atom_site_fract_z
La1 0.000 0.000 0.000
Mg1 0.000 0.016 0.493
Mg2 0.000 0.493 0.016
Mg3 0.203 0.613 0.613
Mg4 0.253 0.135 0.629
Mg5 0.253 0.629 0.135
Mg6 0.268 0.142 0.142
Mg7 0.500 0.478 0.478
Mg8 0.500 0.480 0.971
Mg9 0.500 0.971 0.480
Mg10 0.500 0.973 0.973
Mg11 0.732 0.142 0.142
Mg12 0.747 0.135 0.629
Mg13 0.747 0.629 0.135
Mg14 0.797 0.613 0.613
Ni1 0.000 0.452 0.452
```

=====

Entry 2:
# Pr6Ni3Sn14
Simulated powder X-ray diffraction pattern, Cu Ka. Input: a cell relaxed with GGA-PBE.
Lines closer than 0.1° are merged.

The 10 most intense peaks (5 to 70 degrees two-theta), by angle:
2θ/deg, I (rel.)
31.96, 100
32.35, 22
39.26, 43
51.73, 21
56.72, 15
57.42, 7
63.94, 8
66.55, 13
66.66, 13
66.82, 8

Cell and atoms:
```
data_Pr6Ni3Sn14
_space_group_name_H-M_alt 'P 1'
_space_group_IT_number 1
_space_group_name_Hall 'P 1'
_cell_length_a 4.585
_cell_length_b 4.595
_cell_length_c 27.694
_cell_angle_alpha 90.00
_cell_angle_beta 90.00
_cell_angle_gamma 90.00
loop_
_atom_site_label
_atom_site_fract_x
_atom_site_fract_y
_atom_site_fract_z
Pr1 0.000 0.000 0.000
Pr2 0.000 0.000 0.371
Pr3 0.000 0.500 0.500
Pr4 0.000 0.500 0.870
Pr5 0.500 0.000 0.683
Pr6 0.500 0.500 0.185
Ni1 0.500 0.000 0.556
Ni2 0.500 0.500 0.057
Ni3 0.500 0.500 0.314
Sn1 0.000 0.000 0.185
Sn2 0.000 0.000 0.595
Sn3 0.000 0.000 0.778
Sn4 0.000 0.500 0.095
Sn5 0.000 0.500 0.275
Sn6 0.000 0.500 0.686
Sn7 0.500 0.000 0.095
Sn8 0.500 0.000 0.275
Sn9 0.500 0.000 0.466
Sn10 0.500 0.000 0.899
Sn11 0.500 0.500 0.404
Sn12 0.500 0.500 0.595
Sn13 0.500 0.500 0.779
Sn14 0.500 0.500 0.966
```

=====

Entry 3:
# TbGeRu
Simulated powder X-ray diffraction pattern, Cu Ka. Input: a cell relaxed with GGA-PBE.
Lines closer than 0.1° are merged.

The 10 most intense peaks (5 to 70 degrees two-theta), by angle:
2θ/deg, I (rel.)
34.31, 76
34.64, 100
35.44, 29
39.40, 21
40.17, 32
40.49, 47
42.56, 40
58.36, 23
68.59, 27
69.89, 18

Cell and atoms:
```
data_TbGeRu
_space_group_name_H-M_alt 'P 1'
_space_group_IT_number 1
_space_group_name_Hall 'P 1'
_cell_length_a 7.083
_cell_length_b 4.456
_cell_length_c 7.250
_cell_angle_alpha 90.00
_cell_angle_beta 90.00
_cell_angle_gamma 90.00
loop_
_atom_site_label
_atom_site_fract_x
_atom_site_fract_y
_atom_site_fract_z
Tb1 0.016 0.250 0.191
Tb2 0.484 0.750 0.691
Tb3 0.516 0.250 0.309
Tb4 0.984 0.750 0.809
Ge1 0.201 0.250 0.606
Ge2 0.299 0.750 0.106
Ge3 0.701 0.250 0.894
Ge4 0.799 0.750 0.394
Ru1 0.155 0.750 0.436
Ru2 0.345 0.250 0.936
Ru3 0.655 0.750 0.064
Ru4 0.845 0.250 0.564
```

=====

Entry 4:
# PrGa4Os
Simulated powder X-ray diffraction pattern, Cu Ka. Input: a cell relaxed with GGA-PBE.
Lines closer than 0.1° are merged.

The 10 most intense peaks (5 to 70 degrees two-theta), by angle:
2θ/deg, I (rel.)
29.57, 68
36.15, 100
36.81, 25
40.58, 79
40.72, 38
43.92, 28
51.09, 18
55.94, 18
61.91, 17
67.12, 16

Cell and atoms:
```
data_PrGa4Os
_space_group_name_H-M_alt 'P 1'
_space_group_IT_number 1
_space_group_name_Hall 'P 1'
_cell_length_a 9.766
_cell_length_b 8.863
_cell_length_c 7.709
_cell_angle_alpha 90.00
_cell_angle_beta 90.00
_cell_angle_gamma 90.00
loop_
_atom_site_label
_atom_site_fract_x
_atom_site_fract_y
_atom_site_fract_z
Pr1 0.250 0.000 0.180
Pr2 0.250 0.251 0.661
Pr3 0.250 0.749 0.661
Pr4 0.750 0.000 0.820
Pr5 0.750 0.251 0.339
Pr6 0.750 0.749 0.339
Ga1 0.000 0.000 0.500
Ga2 0.061 0.500 0.838
Ga3 0.075 0.264 0.321
Ga4 0.075 0.736 0.321
Ga5 0.085 0.000 0.844
Ga6 0.250 0.344 0.047
Ga7 0.250 0.500 0.370
Ga8 0.250 0.656 0.047
Ga9 0.415 0.000 0.844
Ga10 0.425 0.264 0.321
Ga11 0.425 0.736 0.321
Ga12 0.439 0.500 0.838
Ga13 0.500 0.000 0.500
Ga14 0.561 0.500 0.162
Ga15 0.575 0.264 0.679
Ga16 0.575 0.736 0.679
Ga17 0.585 0.000 0.156
Ga18 0.750 0.344 0.953
Ga19 0.750 0.500 0.630
Ga20 0.750 0.656 0.953
Ga21 0.915 0.000 0.156
Ga22 0.925 0.264 0.679
Ga23 0.925 0.736 0.679
Ga24 0.939 0.500 0.162
Os1 0.000 0.241 0.000
Os2 0.000 0.500 0.500
Os3 0.000 0.759 0.000
Os4 0.500 0.241 0.000
Os5 0.500 0.500 0.500
Os6 0.500 0.759 0.000
```

=====

Entry 5:
# Rb3HSe2O8
Simulated powder X-ray diffraction pattern, Cu Ka. Input: a cell relaxed with GGA-PBE.
Lines closer than 0.1° are merged.

The 10 most intense peaks (5 to 70 degrees two-theta), by angle:
2θ/deg, I (rel.)
24.76, 53
25.67, 100
28.62, 44
29.31, 74
38.19, 45
40.48, 16
41.68, 22
48.79, 15
51.12, 15
59.28, 17

Cell and atoms:
```
data_Rb3HSe2O8
_space_group_name_H-M_alt 'P 1'
_space_group_IT_number 1
_space_group_name_Hall 'P 1'
_cell_length_a 6.104
_cell_length_b 6.104
_cell_length_c 8.359
_cell_angle_alpha 108.16
_cell_angle_beta 108.16
_cell_angle_gamma 61.46
loop_
_atom_site_label
_atom_site_fract_x
_atom_site_fract_y
_atom_site_fract_z
Rb1 0.000 0.000 0.000
Rb2 0.200 0.200 0.608
Rb3 0.800 0.800 0.392
H1 0.500 0.500 0.000
Se1 0.423 0.423 0.235
Se2 0.577 0.577 0.765
O1 0.264 0.708 0.691
O2 0.276 0.276 0.267
O3 0.292 0.736 0.309
O4 0.388 0.388 0.015
O5 0.612 0.612 0.985
O6 0.708 0.264 0.691
O7 0.724 0.724 0.733
O8 0.736 0.292 0.309
```

=====

Entry 6:
# FeCo8S8
Simulated powder X-ray diffraction pattern, Cu Ka. Input: a cell relaxed with GGA-PBE.
Lines closer than 0.1° are merged.

The 10 most intense peaks (5 to 70 degrees two-theta), by angle:
2θ/deg, I (rel.)
15.72, 24
30.36, 87
31.75, 20
36.82, 8
40.26, 17
48.44, 35
53.06, 100
55.69, 5
62.36, 10
63.17, 6

Cell and atoms:
```
data_FeCo8S8
_space_group_name_H-M_alt 'P 1'
_space_group_IT_number 1
_space_group_name_Hall 'P 1'
_cell_length_a 6.904
_cell_length_b 6.904
_cell_length_c 6.904
_cell_angle_alpha 60.00
_cell_angle_beta 60.00
_cell_angle_gamma 60.00
loop_
_atom_site_label
_atom_site_fract_x
_atom_site_fract_y
_atom_site_fract_z
Fe1 0.000 0.000 0.000
Co1 0.122 0.626 0.626
Co2 0.374 0.374 0.374
Co3 0.374 0.374 0.878
Co4 0.374 0.878 0.374
Co5 0.626 0.122 0.626
Co6 0.626 0.626 0.122
Co7 0.626 0.626 0.626
Co8 0.878 0.374 0.374
S1 0.235 0.235 0.765
S2 0.235 0.765 0.235
S3 0.235 0.765 0.765
S4 0.250 0.250 0.250
S5 0.750 0.750 0.750
S6 0.765 0.235 0.235
S7 0.765 0.235 0.765
S8 0.765 0.765 0.235
```

=====

Entry 7:
# Hf8FeTe6
Simulated powder X-ray diffraction pattern, Cu Ka. Input: a cell relaxed with GGA-PBE.
Lines closer than 0.1° are merged.

The 10 most intense peaks (5 to 70 degrees two-theta), by angle:
2θ/deg, I (rel.)
6.78, 65
11.50, 49
31.66, 100
33.04, 20
33.97, 21
35.02, 33
35.17, 25
36.23, 20
37.73, 65
48.72, 34

Cell and atoms:
```
data_Hf8FeTe6
_space_group_name_H-M_alt 'P 1'
_space_group_IT_number 1
_space_group_name_Hall 'P 1'
_cell_length_a 3.738
_cell_length_b 26.077
_cell_length_c 7.692
_cell_angle_alpha 90.00
_cell_angle_beta 90.00
_cell_angle_gamma 90.00
loop_
_atom_site_label
_atom_site_fract_x
_atom_site_fract_y
_atom_site_fract_z
Hf1 0.250 0.052 0.058
Hf2 0.250 0.184 0.261
Hf3 0.250 0.250 0.926
Hf4 0.250 0.316 0.261
Hf5 0.250 0.448 0.058
Hf6 0.250 0.651 0.056
Hf7 0.250 0.750 0.459
Hf8 0.250 0.849 0.056
Hf9 0.750 0.151 0.944
Hf10 0.750 0.250 0.541
Hf11 0.750 0.349 0.944
Hf12 0.750 0.552 0.942
Hf13 0.750 0.684 0.739
Hf14 0.750 0.750 0.074
Hf15 0.750 0.816 0.739
Hf16 0.750 0.948 0.942
Fe1 0.250 0.750 0.816
Fe2 0.750 0.250 0.184
Te1 0.250 0.168 0.649
Te2 0.250 0.332 0.649
Te3 0.250 0.547 0.225
Te4 0.250 0.594 0.699
Te5 0.250 0.906 0.699
Te6 0.250 0.953 0.225
Te7 0.750 0.047 0.775
Te8 0.750 0.094 0.301
Te9 0.750 0.406 0.301
Te10 0.750 0.453 0.775
Te11 0.750 0.668 0.351
Te12 0.750 0.832 0.351
```